Diffraction record for NpNi3O7. The XRD peak list is calculated, not measured: it uses a DFT-relaxed cell (PBE+U, Alexandria) and CuKα.

Crystal structure
Cell: 6.061 6.061 7.857 Å, 90.00 90.00 114.90°
Element x y z (fractional)
Np: 0.001 0.001 0.000
Np: 0.999 0.999 0.500
Ni: 0.022 0.494 0.751
Ni: 0.494 0.022 0.249
Ni: 0.499 0.499 0.500
Ni: 0.501 0.501 0.000
Ni: 0.506 0.978 0.749
Ni: 0.978 0.506 0.251
O: 0.071 0.929 0.250
O: 0.096 0.345 0.449
O: 0.096 0.346 0.051
O: 0.324 0.676 0.250
O: 0.345 0.096 0.551
O: 0.346 0.096 0.949
O: 0.380 0.620 0.750
O: 0.620 0.380 0.250
O: 0.654 0.904 0.449
O: 0.655 0.904 0.051
O: 0.676 0.324 0.750
O: 0.904 0.654 0.551
O: 0.904 0.655 0.949
O: 0.929 0.071 0.750

Largest 10 diffraction maxima, sorted by position, 10° ≤ 2θ ≤ 80°:
2θ = 16.12°, intensity 59; 2θ = 17.36°, intensity 25; 2θ = 27.91°, intensity 37; 2θ = 28.66°, intensity 100; 2θ = 29.59°, intensity 18; 2θ = 32.57°, intensity 72; 2θ = 35.78°, intensity 33; 2θ = 51.02°, intensity 52; 2θ = 57.68°, intensity 28; 2θ = 64.52°, intensity 22